Computed PXRD pattern
Compound: RbSc2NiSe4
Radiation: CuKα
Structure: the GGA-PBE geometry in Alexandria
No peak broadening, texture or thermal motion is included.

Most intense lines, 10° ≤ 2θ ≤ 80°, by angle:
3.146 Å, rel. 34
3.101 Å, rel. 54
2.938 Å, rel. 100
2.756 Å, rel. 84
2.050 Å, rel. 46
1.952 Å, rel. 34

Cell and atoms:
abc: 7.3352 7.3352 13.8007
angles: 90.00 90.00 149.13
Fractional coordinates of all 16 atoms:
Rb  0.1140  0.8860  0.7500
Rb  0.8860  0.1140  0.2500
Sc  0.3695  0.6305  0.5658
Sc  0.3695  0.6305  0.9342
Sc  0.6305  0.3695  0.0658
Sc  0.6305  0.3695  0.4342
Ni  0.1609  0.8391  0.2500
Ni  0.8391  0.1609  0.7500
Se  0.0000  0.0000  0.0000
Se  0.0000  0.0000  0.5000
Se  0.2548  0.7452  0.1053
Se  0.2548  0.7452  0.3947
Se  0.4300  0.5700  0.7500
Se  0.5700  0.4300  0.2500
Se  0.7452  0.2548  0.6053
Se  0.7452  0.2548  0.8947

Computed PXRD pattern
Compound: InSn2Se
Radiation: CuKα
Structure: the GGA-PBE geometry in Alexandria
No peak broadening, texture or thermal motion is included.

Most intense lines, 10° ≤ 2θ ≤ 80°, by angle:
2.681 Å, rel. 100
2.540 Å, rel. 44
1.796 Å, rel. 16
1.578 Å, rel. 17
1.492 Å, rel. 35
1.340 Å, rel. 9

Cell and atoms:
abc: 3.5925 3.5925 8.0517
angles: 90.00 90.00 90.00
Fractional coordinates of all 4 atoms:
In  0.0000  0.0000  0.0000
Sn  0.5000  0.5000  0.2772
Sn  0.5000  0.5000  0.7228
Se  0.0000  0.0000  0.5000